# 1
Computed X-ray powder pattern
Compound: PrBiB
Radiation: a wavelength of 1.5418 Å
Structure: a cell relaxed with GGA-PBE
Neutral-atom scattering factors, no anomalous dispersion.

The 8 most intense peaks (10° ≤ 2θ ≤ 80°), in order of falling intensity:
35.4°, I 1000, (1 1 -2)
24.5°, I 943, (1 1 0)
33.5°, I 875, (3 1 0)
31.9°, I 545, (4 0 0)
32.7°, I 466, (2 0 2)
45.3°, I 460, (3 1 2)
26.2°, I 441, (0 0 2)
38.6°, I 295, (4 0 -2)

Structural model:
```
data_PrBiB
_chemical_formula_sum 'Pr4 Bi4 B4'
_symmetry_space_group_name_H-M 'C 1 2/m 1'
_symmetry_Int_Tables_number 12
_cell_length_a 11.3214
_cell_length_b 3.8336
_cell_length_c 6.8626
_cell_angle_alpha 90.00
_cell_angle_beta 98.24
_cell_angle_gamma 90.00
loop_
_symmetry_equiv_pos_as_xyz
'x,y,z'
'-x,-y,-z'
'-x,y,-z'
'x,-y,z'
'x+1/2,y+1/2,z'
'-x+1/2,-y+1/2,-z'
'-x+1/2,y+1/2,-z'
'x+1/2,-y+1/2,z'
loop_
_atom_site_label
_atom_site_type_symbol
_atom_site_fract_x
_atom_site_fract_y
_atom_site_fract_z
Pr1 Pr 0.1312 0.0000 0.3288
Bi1 Bi 0.1455 0.0000 0.8094
B1 B 0.0630 0.5000 0.5804
```

=====

# 2
Computed X-ray powder pattern
Compound: BiBPt3
Radiation: a wavelength of 1.5418 Å
Structure: a cell relaxed with GGA-PBE
Neutral-atom scattering factors, no anomalous dispersion.

The 8 most intense peaks (10° ≤ 2θ ≤ 80°), in order of falling intensity:
31.4°, I 1000, (1 1 -1)
30.4°, I 833, (1 0 2)
38.5°, I 818, (1 -2 1)
41.8°, I 684, (1 0 3)
37.8°, I 563, (0 2 2)
30.0°, I 531, (0 2 1)
33.6°, I 469, (1 2 0)
28.3°, I 403, (1 -1 1)

Structural model:
```
data_BiBPt3
_chemical_formula_sum 'Bi2 B2 Pt6'
_symmetry_space_group_name_H-M 'P 1'
_symmetry_Int_Tables_number 1
_cell_length_a 4.2103
_cell_length_b 6.5473
_cell_length_c 6.7966
_cell_angle_alpha 84.39
_cell_angle_beta 74.51
_cell_angle_gamma 82.59
loop_
_symmetry_equiv_pos_as_xyz
'x,y,z'
loop_
_atom_site_label
_atom_site_type_symbol
_atom_site_fract_x
_atom_site_fract_y
_atom_site_fract_z
Bi1 Bi 0.0000 0.0000 0.0000
Bi2 Bi 0.3352 0.8022 0.4421
B1 B 0.3248 0.4087 0.1659
B2 B 0.6534 0.3162 0.5756
Pt1 Pt 0.2112 0.2360 0.4860
Pt2 Pt 0.2753 0.3854 0.8671
Pt3 Pt 0.5299 0.6924 0.0313
Pt4 Pt 0.6453 0.0128 0.7064
Pt5 Pt 0.7967 0.3664 0.2451
Pt6 Pt 0.8046 0.5933 0.6356
```

=====

# 3
Computed X-ray powder pattern
Compound: BiBPt3
Radiation: a wavelength of 1.5418 Å
Structure: a cell relaxed with GGA-PBE
Neutral-atom scattering factors, no anomalous dispersion.

The 8 most intense peaks (10° ≤ 2θ ≤ 80°), in order of falling intensity:
33.5°, I 1000, (4 0 -1)
33.0°, I 978, (0 0 2)
36.4°, I 787, (2 2 0)
36.5°, I 683, (2 2 -1)
43.8°, I 660, (2 2 -2)
43.4°, I 600, (2 2 1)
47.3°, I 370, (4 0 1)
48.2°, I 357, (4 0 -3)

Structural model:
```
data_BiBPt3
_chemical_formula_sum 'Bi4 B4 Pt12'
_symmetry_space_group_name_H-M 'C 1 2/m 1'
_symmetry_Int_Tables_number 12
_cell_length_a 10.6922
_cell_length_b 5.7492
_cell_length_c 6.0154
_cell_angle_alpha 90.00
_cell_angle_beta 115.42
_cell_angle_gamma 90.00
loop_
_symmetry_equiv_pos_as_xyz
'x,y,z'
'-x,-y,-z'
'-x,y,-z'
'x,-y,z'
'x+1/2,y+1/2,z'
'-x+1/2,-y+1/2,-z'
'-x+1/2,y+1/2,-z'
'x+1/2,-y+1/2,z'
loop_
_atom_site_label
_atom_site_type_symbol
_atom_site_fract_x
_atom_site_fract_y
_atom_site_fract_z
Bi1 Bi 0.0756 0.0000 0.2898
B1 B 0.1601 0.5000 0.0040
Pt1 Pt 0.0584 0.5000 0.2567
Pt2 Pt 0.1902 0.2530 0.7450
```

=====

# 4
Computed X-ray powder pattern
Compound: ReBiBRh
Radiation: a wavelength of 1.5418 Å
Structure: a cell relaxed with GGA-PBE
Neutral-atom scattering factors, no anomalous dispersion.

The 8 most intense peaks (10° ≤ 2θ ≤ 80°), in order of falling intensity:
33.9°, I 1000, (1 0 1)
41.2°, I 593, (0 1 2)
55.3°, I 255, (1 1 0)
70.4°, I 224, (1 1 3)
40.0°, I 192, (0 0 3)
63.9°, I 178, (1 0 4)
66.4°, I 147, (0 2 1)
71.2°, I 120, (2 0 2)

Structural model:
```
data_ReBiBRh
_chemical_formula_sum 'Re1 Bi1 B1 Rh1'
_symmetry_space_group_name_H-M 'P 3 m 1'
_symmetry_Int_Tables_number 156
_cell_length_a 3.3225
_cell_length_b 3.3225
_cell_length_c 6.7607
_cell_angle_alpha 90.00
_cell_angle_beta 90.00
_cell_angle_gamma 120.00
loop_
_symmetry_equiv_pos_as_xyz
'x,y,z'
'-y,x-y,z'
'-x+y,-x,z'
'-y,-x,z'
'-x+y,y,z'
'x,x-y,z'
loop_
_atom_site_label
_atom_site_type_symbol
_atom_site_fract_x
_atom_site_fract_y
_atom_site_fract_z
Re1 Re 0.0000 0.0000 0.0000
Bi1 Bi 0.3333 0.6667 0.6487
B1 B 0.3333 0.6667 0.1561
Rh1 Rh 0.6667 0.3333 0.2996
```

=====

# 5
Computed X-ray powder pattern
Compound: ReBiBRh
Radiation: a wavelength of 1.5418 Å
Structure: a cell relaxed with GGA-PBE
Neutral-atom scattering factors, no anomalous dispersion.

The 8 most intense peaks (10° ≤ 2θ ≤ 80°), in order of falling intensity:
41.9°, I 1000, (1 1 1)
29.8°, I 990, (0 1 1)
39.2°, I 886, (1 0 4)
44.3°, I 708, (0 1 5)
53.7°, I 529, (1 1 5)
28.8°, I 423, (1 0 0)
31.7°, I 416, (1 0 2)
26.0°, I 405, (0 0 4)

Structural model:
```
data_ReBiBRh
_chemical_formula_sum 'Re2 Bi2 B2 Rh2'
_symmetry_space_group_name_H-M 'A m m 2'
_symmetry_Int_Tables_number 38
_cell_length_a 3.0969
_cell_length_b 3.0743
_cell_length_c 13.6824
_cell_angle_alpha 90.00
_cell_angle_beta 90.00
_cell_angle_gamma 90.00
loop_
_symmetry_equiv_pos_as_xyz
'x,y,z'
'-x,-y,z'
'-x,y,z'
'x,-y,z'
'x,y+1/2,z+1/2'
'-x,-y+1/2,z+1/2'
'-x,y+1/2,z+1/2'
'x,-y+1/2,z+1/2'
loop_
_atom_site_label
_atom_site_type_symbol
_atom_site_fract_x
_atom_site_fract_y
_atom_site_fract_z
Re1 Re 0.0000 0.0000 0.0000
Bi1 Bi 0.0000 0.0000 0.7959
B1 B 0.5000 0.0000 0.5362
Rh1 Rh 0.5000 0.0000 0.1627
```

=====

# 6
Computed X-ray powder pattern
Compound: TlBi2B2S6
Radiation: a wavelength of 1.5418 Å
Structure: a cell relaxed with GGA-PBE
Neutral-atom scattering factors, no anomalous dispersion.

The 8 most intense peaks (10° ≤ 2θ ≤ 80°), in order of falling intensity:
15.6°, I 1000, (1 1 1)
19.2°, I 893, (1 -1 0)
24.8°, I 736, (0 2 1)
25.3°, I 621, (1 0 2)
30.4°, I 550, (2 1 0)
23.1°, I 494, (1 0 -1)
35.5°, I 466, (1 2 3)
37.5°, I 419, (-1 2 2)

Structural model:
```
data_TlBi2B2S6
_chemical_formula_sum 'Tl1 Bi2 B2 S6'
_symmetry_space_group_name_H-M 'P -1'
_symmetry_Int_Tables_number 2
_cell_length_a 7.3792
_cell_length_b 7.3873
_cell_length_c 7.9382
_cell_angle_alpha 62.78
_cell_angle_beta 62.69
_cell_angle_gamma 77.66
loop_
_symmetry_equiv_pos_as_xyz
'x,y,z'
'-x,-y,-z'
loop_
_atom_site_label
_atom_site_type_symbol
_atom_site_fract_x
_atom_site_fract_y
_atom_site_fract_z
Tl1 Tl 0.0000 0.0000 0.0000
Bi1 Bi 0.3049 0.3041 0.3843
B1 B 0.3402 0.3409 0.7380
S1 S 0.1397 0.4731 0.6473
S2 S 0.4036 0.4052 0.8976
S3 S 0.4739 0.1406 0.6472
```